Entry 1:
Simulated XRD peak list
Compound: Li2FeSiO4
Radiation: Cu Kα
Structure: a GGA+U-relaxed structure
Intensities are scaled so that the largest is 100.

Atomic structure:
```
data_Li2FeSiO4
_cell_length_a 4.468
_cell_length_b 4.468
_cell_length_c 8.614
_cell_angle_alpha 90.00
_cell_angle_beta 90.00
_cell_angle_gamma 90.00
_space_group_name_H-M_alt 'I -4 2 m'
_space_group_IT_number 121
_space_group_name_Hall 'I -4 2'
loop_
_atom_site_label
_atom_site_fract_x
_atom_site_fract_y
_atom_site_fract_z
Li1 0.000 0.500 0.250
Fe1 0.000 0.000 0.000
Si1 0.000 0.000 0.500
O1 0.213 0.213 0.388
```

The 10 most intense peaks (2θ from 10° to 80°), in order of falling intensity:
Position (°2θ)  I (rel.)  hkl
35.23  100  1 1 2
20.62  61  0 0 2
28.24  45  1 1 0
59.63  31  2 0 4
70.09  19  3 1 2
58.42  16  2 2 0
45.75  16  2 0 2
51.35  14  1 1 4
46.66  12  2 1 1
37.22  9  1 0 3

Entry 2:
Simulated XRD peak list
Compound: LiFeSiO4
Radiation: Cu Kα
Structure: a GGA+U-relaxed structure
Intensities are scaled so that the largest is 100.

Atomic structure:
```
data_LiFeSiO4
_cell_length_a 7.995
_cell_length_b 5.400
_cell_length_c 8.526
_cell_angle_alpha 90.00
_cell_angle_beta 105.62
_cell_angle_gamma 90.00
_space_group_name_H-M_alt 'P 1 c 1'
_space_group_IT_number 7
loop_
_space_group_symop_operation_xyz
'x,y,z'
'x,-y,z+1/2'
loop_
_atom_site_label
_atom_site_fract_x
_atom_site_fract_y
_atom_site_fract_z
Li1 0.000 0.156 0.000
Li2 0.499 0.335 0.307
Fe1 0.373 0.169 0.924
Fe2 0.894 0.350 0.631
Si1 0.128 0.327 0.379
Si2 0.614 0.161 0.683
O1 0.042 0.205 0.516
O2 0.182 0.380 0.925
O3 0.293 0.159 0.364
O4 0.481 0.304 0.771
O5 0.535 0.118 0.132
O6 0.648 0.310 0.525
O7 0.817 0.177 0.800
O8 0.984 0.333 0.198
```

The 10 most intense peaks (2θ from 10° to 80°), in order of falling intensity:
Position (°2θ)  I (rel.)  hkl
24.30  100  1 1 1
27.22  73  1 0 2
21.61  65  1 0 -2
31.89  55  2 1 -2
20.09  55  1 1 0
19.68  49  0 1 1
33.18  27  0 2 0
58.48  26  2 3 -2
28.16  23  2 1 -1
44.07  20  0 0 4

Entry 3:
Simulated XRD peak list
Compound: LiFeSiO4
Radiation: Cu Kα
Structure: a GGA+U-relaxed structure
Intensities are scaled so that the largest is 100.

Atomic structure:
```
data_LiFeSiO4
_cell_length_a 5.607
_cell_length_b 5.919
_cell_length_c 7.941
_cell_angle_alpha 90.00
_cell_angle_beta 90.00
_cell_angle_gamma 90.00
_space_group_name_H-M_alt 'I m m a'
_space_group_IT_number 74
_space_group_name_Hall '-I 2b 2'
loop_
_atom_site_label
_atom_site_fract_x
_atom_site_fract_y
_atom_site_fract_z
Li1 0.250 0.250 0.250
Fe1 0.000 0.000 0.000
Si1 0.000 0.250 0.633
O1 0.000 0.018 0.749
O2 0.243 0.250 0.506
```

The 10 most intense peaks (2θ from 10° to 80°), in order of falling intensity:
Position (°2θ)  I (rel.)  hkl
36.13  100  1 2 1
19.38  56  1 0 1
65.70  51  2 2 4
37.58  47  1 0 3
44.52  40  2 2 0
31.92  39  2 0 0
22.39  36  0 0 2
18.70  22  0 1 1
60.63  20  3 0 3
31.48  19  1 1 2

Entry 4:
Simulated XRD peak list
Compound: LiFeSiO4
Radiation: Cu Kα
Structure: a GGA+U-relaxed structure
Intensities are scaled so that the largest is 100.

Atomic structure:
```
data_LiFeSiO4
_cell_length_a 10.845
_cell_length_b 6.437
_cell_length_c 5.136
_cell_angle_alpha 90.00
_cell_angle_beta 90.00
_cell_angle_gamma 90.00
_space_group_name_H-M_alt 'P n a 21'
_space_group_IT_number 33
loop_
_space_group_symop_operation_xyz
'x,y,z'
'-x,-y,z+1/2'
'-x+1/2,y+1/2,z+1/2'
'x+1/2,-y+1/2,z'
loop_
_atom_site_label
_atom_site_fract_x
_atom_site_fract_y
_atom_site_fract_z
Li1 0.167 0.014 0.000
Fe1 0.085 0.276 0.499
Si1 0.173 0.517 0.000
O1 0.087 0.725 0.935
O2 0.116 0.305 0.863
O3 0.173 0.485 0.320
O4 0.185 0.048 0.391
```

The 10 most intense peaks (2θ from 10° to 80°), in order of falling intensity:
Position (°2θ)  I (rel.)  hkl
22.14  100  0 1 1
21.43  66  2 1 0
32.35  39  2 2 0
34.94  37  0 0 2
16.01  34  1 1 0
36.89  29  2 2 1
58.58  24  6 2 0
23.63  22  1 1 1
27.65  22  2 1 1
33.04  21  4 0 0

Entry 5:
Simulated XRD peak list
Compound: Li2Fe2Si8O19
Radiation: Cu Kα
Structure: a GGA+U-relaxed structure
Intensities are scaled so that the largest is 100.

Atomic structure:
```
data_Li2Fe2Si8O19
_cell_length_a 4.913
_cell_length_b 7.182
_cell_length_c 12.364
_cell_angle_alpha 98.33
_cell_angle_beta 101.41
_cell_angle_gamma 109.88
_space_group_name_H-M_alt 'P 1'
_space_group_IT_number 1
loop_
_space_group_symop_operation_xyz
'x,y,z'
loop_
_atom_site_label
_atom_site_fract_x
_atom_site_fract_y
_atom_site_fract_z
Li1 0.000 0.000 0.000
Li2 0.396 0.995 0.790
Fe1 0.709 0.272 0.981
Fe2 0.846 0.735 0.807
Si1 0.064 0.274 0.824
Si2 0.140 0.725 0.565
Si3 0.197 0.310 0.472
Si4 0.245 0.274 0.223
Si5 0.353 0.719 0.964
Si6 0.366 0.856 0.219
Si7 0.686 0.142 0.570
Si8 0.807 0.688 0.316
O1 0.045 0.761 0.682
O2 0.073 0.496 0.895
O3 0.113 0.728 0.276
O4 0.127 0.305 0.337
O5 0.241 0.529 0.548
O6 0.268 0.905 0.925
O7 0.328 0.727 0.094
O8 0.339 0.073 0.210
O9 0.396 0.270 0.848
O10 0.450 0.925 0.578
O11 0.506 0.270 0.513
O12 0.559 0.469 0.241
O13 0.665 0.724 0.939
O14 0.688 0.869 0.292
O15 0.832 0.089 0.863
O16 0.878 0.693 0.451
O17 0.900 0.270 0.695
O18 0.923 0.128 0.497
O19 0.998 0.240 0.107
```

The 10 most intense peaks (2θ from 10° to 80°), in order of falling intensity:
Position (°2θ)  I (rel.)  hkl
27.13  100  0 2 0
27.69  92  1 -2 1
25.93  89  1 -1 2
26.87  65  1 1 -1
23.17  63  -1 1 2
22.62  62  0 0 3
30.47  39  1 1 -3
28.16  35  -1 1 3
48.16  29  0 2 -6
31.62  25  1 -1 3

Entry 6:
Simulated XRD peak list
Compound: Li2Fe2Si2O7
Radiation: Cu Kα
Structure: a GGA+U-relaxed structure
Intensities are scaled so that the largest is 100.

Atomic structure:
```
data_Li2Fe2Si2O7
_cell_length_a 5.366
_cell_length_b 5.367
_cell_length_c 8.157
_cell_angle_alpha 88.80
_cell_angle_beta 88.25
_cell_angle_gamma 60.02
_space_group_name_H-M_alt 'P -1'
_space_group_IT_number 2
loop_
_space_group_symop_operation_xyz
'x,y,z'
'-x,-y,-z'
loop_
_atom_site_label
_atom_site_fract_x
_atom_site_fract_y
_atom_site_fract_z
Li1 0.162 0.165 0.272
Fe1 0.171 0.168 0.728
Si1 0.498 0.499 0.201
O1 0.208 0.791 0.266
O2 0.211 0.506 0.738
O3 0.492 0.210 0.267
O4 0.500 0.500 0.000
```

The 10 most intense peaks (2θ from 10° to 80°), in order of falling intensity:
Position (°2θ)  I (rel.)  hkl
21.79  100  0 0 2
33.40  27  1 2 0
22.25  22  1 0 -1
22.07  20  0 1 -1
59.70  13  0 3 0
44.45  9  0 0 4
40.68  8  2 2 -1
40.08  7  2 0 1
53.53  5  1 3 -1
34.92  5  2 1 1

Entry 7:
Simulated XRD peak list
Compound: LiFeSi2O6
Radiation: Cu Kα
Structure: a GGA+U-relaxed structure
Intensities are scaled so that the largest is 100.

Atomic structure:
```
data_LiFeSi2O6
_cell_length_a 9.840
_cell_length_b 8.802
_cell_length_c 5.363
_cell_angle_alpha 90.00
_cell_angle_beta 110.80
_cell_angle_gamma 90.00
_space_group_name_H-M_alt 'C 1 2/c 1'
_space_group_IT_number 15
loop_
_space_group_symop_operation_xyz
'x,y,z'
'-x,-y,-z'
'-x,y,-z+1/2'
'x,-y,z+1/2'
'x+1/2,y+1/2,z'
'-x+1/2,-y+1/2,-z'
'-x+1/2,y+1/2,-z+1/2'
'x+1/2,-y+1/2,z+1/2'
loop_
_atom_site_label
_atom_site_fract_x
_atom_site_fract_y
_atom_site_fract_z
Li1 0.000 0.248 0.250
Fe1 0.000 0.397 0.750
Si1 0.204 0.089 0.731
O1 0.116 0.415 0.150
O2 0.131 0.256 0.671
O3 0.146 0.004 0.440
```

The 10 most intense peaks (2θ from 10° to 80°), in order of falling intensity:
Position (°2θ)  I (rel.)  hkl
29.34  100  2 2 -1
30.88  60  3 1 0
13.93  52  1 1 0
25.18  37  1 1 1
35.82  32  0 0 2
19.67  31  1 1 -1
20.18  27  0 2 0
55.51  26  2 2 -3
37.01  22  2 2 1
56.29  19  5 3 -1